No. 1
This entry pairs a crystal structure of FeBiI with its calculated X-ray diffraction stick pattern. Radiation: Cu Kα. Structure: DFT lattice parameters and positions (GGA-PBE).

Cell and atoms:
Lattice parameters (Å, degrees): 7.7563 7.7563 6.8214 103.65 103.65 29.83
Atoms (fractional coordinates):
Fe1 0.0000 0.0000 0.0000
Fe2 0.5006 0.5006 0.8063
Bi1 0.1011 0.1011 0.6657
Bi2 0.9004 0.9004 0.5568
I1 0.3706 0.3706 0.0346
I2 0.6285 0.6285 0.1784

Largest 10 diffraction maxima, in order of rising 2θ, 2θ from 5° to 70°:
2θ (°)  d/Å  I (rel.)
12.18  7.268  50
24.50  3.634  39
26.01  3.426  100
26.75  3.333  37
26.96  3.307  28
33.95  2.641  50
38.02  2.367  54
43.33  2.088  21
45.43  1.997  22
46.10  1.969  31

No. 2
This entry pairs a crystal structure of Ho5Sc2Ge4 with its calculated X-ray diffraction stick pattern. Radiation: Cu Kα. Structure: DFT lattice parameters and positions (GGA-PBE).

Cell and atoms:
Lattice parameters (Å, degrees): 10.4357 10.4357 7.0948 109.81 109.81 22.85
Atoms (fractional coordinates):
Ho1 0.0000 0.0000 0.0000
Ho2 0.3355 0.3355 0.5980
Ho3 0.3357 0.3357 0.0722
Ho4 0.6643 0.6643 0.9278
Ho5 0.6645 0.6645 0.4020
Sc1 0.0726 0.0726 0.5732
Sc2 0.9274 0.9274 0.4268
Ge1 0.2116 0.2116 0.7119
Ge2 0.5002 0.5002 0.2971
Ge3 0.4998 0.4998 0.7029
Ge4 0.7884 0.7884 0.2881

Largest 10 diffraction maxima, in order of rising 2θ, 2θ from 5° to 70°:
2θ (°)  d/Å  I (rel.)
25.65  3.473  62
26.63  3.348  33
27.89  3.199  56
31.36  2.853  23
33.61  2.666  100
36.20  2.482  29
37.87  2.376  33
39.43  2.285  22
40.94  2.204  46
43.79  2.067  32

No. 3
This entry pairs a crystal structure of La2DyAs4Pd3 with its calculated X-ray diffraction stick pattern. Radiation: Cu Kα. Structure: DFT lattice parameters and positions (GGA-PBE).

Cell and atoms:
Lattice parameters (Å, degrees): 4.4948 4.4948 10.8351 90.00 90.00 90.00
Atoms (fractional coordinates):
La1 0.0000 0.5000 0.2155
La2 0.5000 0.0000 0.7845
Dy1 0.0000 0.0000 0.5000
As1 0.0000 0.0000 0.0000
As2 0.0000 0.5000 0.6543
As3 0.5000 0.0000 0.3457
As4 0.5000 0.5000 0.0000
Pd1 0.0000 0.5000 0.8871
Pd2 0.5000 0.0000 0.1129
Pd3 0.5000 0.5000 0.5000

Largest 10 diffraction maxima, in order of rising 2θ, 2θ from 5° to 70°:
2θ (°)  d/Å  I (rel.)
29.28  3.050  17
31.78  2.815  43
32.67  2.741  100
38.82  2.320  19
40.12  2.247  67
43.92  2.062  29
52.07  1.756  21
57.06  1.614  12
58.04  1.589  22
68.21  1.375  23

No. 4
This entry pairs a crystal structure of RbInBP2HO9 with its calculated X-ray diffraction stick pattern. Radiation: Cu Kα. Structure: DFT lattice parameters and positions (GGA-PBE).

Cell and atoms:
Lattice parameters (Å, degrees): 5.4109 8.5212 8.5863 87.46 86.87 80.22
Atoms (fractional coordinates):
Rb1 0.2201 0.1197 0.3323
Rb2 0.7799 0.8803 0.6677
In1 0.2145 0.2098 0.8143
In2 0.7855 0.7902 0.1857
B1 0.3893 0.5660 0.7235
B2 0.6107 0.4340 0.2765
P1 0.2867 0.8080 0.9336
P2 0.3113 0.6940 0.4152
P3 0.6887 0.3060 0.5848
P4 0.7133 0.1920 0.0664
H1 0.1075 0.5344 0.8810
H2 0.8925 0.4656 0.1190
O1 0.0445 0.7385 0.9848
O2 0.0659 0.7886 0.3573
O3 0.2145 0.4687 0.8038
O4 0.2176 0.9560 0.8239
O5 0.2541 0.6594 0.5931
O6 0.3764 0.5318 0.3315
O7 0.4349 0.8411 0.0704
O8 0.4602 0.6764 0.8339
O9 0.4694 0.2116 0.6043
O10 0.5306 0.7884 0.3957
O11 0.5398 0.3236 0.1661
O12 0.5651 0.1589 0.9296
O13 0.6236 0.4682 0.6685
O14 0.7459 0.3406 0.4069
O15 0.7824 0.0440 0.1761
O16 0.7855 0.5313 0.1962
O17 0.9341 0.2114 0.6427
O18 0.9555 0.2615 0.0152

Largest 10 diffraction maxima, in order of rising 2θ, 2θ from 5° to 70°:
2θ (°)  d/Å  I (rel.)
10.54  8.392  47
14.51  6.105  38
21.18  4.194  100
24.71  3.603  46
26.06  3.419  66
26.78  3.329  75
27.33  3.263  86
30.13  2.966  47
33.52  2.673  52
33.65  2.663  37

No. 5
This entry pairs a crystal structure of YC7 with its calculated X-ray diffraction stick pattern. Radiation: Cu Kα. Structure: DFT lattice parameters and positions (GGA-PBE).

Cell and atoms:
Lattice parameters (Å, degrees): 4.8154 4.8154 4.8154 60.00 60.00 60.00
Atoms (fractional coordinates):
Y1 0.0000 0.0000 0.0000
C1 0.0000 0.0000 0.5000
C2 0.0000 0.5000 0.0000
C3 0.0000 0.5000 0.5000
C4 0.5000 0.0000 0.0000
C5 0.5000 0.0000 0.5000
C6 0.5000 0.5000 0.0000
C7 0.5000 0.5000 0.5000

Largest 9 diffraction maxima, in order of rising 2θ, 2θ from 5° to 70°:
2θ (°)  d/Å  I (rel.)
22.62  3.932  100
26.17  3.405  52
37.35  2.408  41
44.10  2.053  52
46.18  1.966  56
53.85  1.703  25
59.13  1.562  22
60.83  1.523  20
67.36  1.390  15

No. 6
This entry pairs a crystal structure of BaRe2F2 with its calculated X-ray diffraction stick pattern. Radiation: Cu Kα. Structure: DFT lattice parameters and positions (GGA-PBE).

Cell and atoms:
Lattice parameters (Å, degrees): 10.1272 10.1272 10.1272 160.23 160.23 28.10
Atoms (fractional coordinates):
Ba1 0.0000 0.0000 0.0000
Re1 0.2500 0.7500 0.5000
Re2 0.7500 0.2500 0.5000
F1 0.4364 0.4364 0.0000
F2 0.5636 0.5636 0.0000

Largest 10 diffraction maxima, in order of rising 2θ, 2θ from 5° to 70°:
2θ (°)  d/Å  I (rel.)
9.00  9.824  73
18.06  4.912  100
36.58  2.457  20
37.72  2.385  71
41.06  2.198  12
46.17  1.966  35
52.66  1.738  21
56.13  1.639  25
60.29  1.535  20
65.82  1.419  11